No. 1
Calculated powder XRD pattern
Compound: Nb2C3N6
Radiation: Cu Kα X-rays
Structure: a cell relaxed with PBE
Intensities are scaled so that the largest is 100.

Atomic structure:
```
data_Nb2C3N6
_chemical_formula_sum 'Nb6 C9 N18'
_cell_length_a 5.3660
_cell_length_b 5.3660
_cell_length_c 20.4633
_cell_angle_alpha 90.00
_cell_angle_beta 90.00
_cell_angle_gamma 120.00
_space_group_name_H-M_alt 'R 3 2'
_space_group_IT_number 155
_space_group_name_Hall 'R 3 2"'
loop_
_atom_site_label
_atom_site_type_symbol
_atom_site_fract_x
_atom_site_fract_y
_atom_site_fract_z
_atom_site_occupancy
Nb1 Nb 0.0000 0.0000 0.1112 1
C1 C 0.0000 0.6730 0.0000 1
N1 N 0.0046 0.6911 0.9398 1
```

Principal peaks in the range 10 to 80 degrees two-theta, sorted by position:
Position (°2θ)	I/Imax	h k l
19.59	100	1 0 1
25.90	66	1 0 4
29.07	51	0 1 5
33.40	29	1 1 0
35.97	34	1 1 3
42.74	18	0 2 4
52.77	25	1 1 9
55.30	16	2 1 4
57.06	14	1 2 5
59.69	15	3 0 0

No. 2
Calculated powder XRD pattern
Compound: NbC6N9
Radiation: Cu Kα X-rays
Structure: a cell relaxed with PBE
Intensities are scaled so that the largest is 100.

Atomic structure:
```
data_NbC6N9
_chemical_formula_sum 'Nb4 C24 N36'
_cell_length_a 7.281
_cell_length_b 11.988
_cell_length_c 12.356
_cell_angle_alpha 90.00
_cell_angle_beta 90.00
_cell_angle_gamma 90.00
_space_group_name_H-M_alt 'C m c m'
_space_group_IT_number 63
_space_group_name_Hall '-C 2c 2'
loop_
_atom_site_label
_atom_site_type_symbol
_atom_site_fract_x
_atom_site_fract_y
_atom_site_fract_z
_atom_site_occupancy
Nb1 Nb 0.000 0.226 0.250 1
C1 C 0.156 0.352 0.598 1
C2 C 0.157 0.098 0.750 1
N1 N 0.000 0.047 0.750 1
N2 N 0.000 0.379 0.556 1
N3 N 0.194 0.363 0.250 1
N4 N 0.196 0.169 0.131 1
```

Principal peaks in the range 10 to 80 degrees two-theta, sorted by position:
Position (°2θ)	I/Imax	h k l
14.34	82	0 0 2
14.78	64	0 2 0
15.95	100	1 1 1
20.25	27	1 1 2
20.65	22	0 2 2
25.94	64	1 1 3
26.25	38	0 2 3
26.45	61	1 3 1
30.70	23	0 4 1
44.91	24	1 3 5